Record 1
This entry pairs a crystal structure of Nb2Se3 with its computed XRD peak list. Radiation: a wavelength of 1.5418 Å. Structure: the PBE geometry in OQMD.
Neutral-atom scattering factors, no anomalous dispersion.

The 12 most intense peaks (2θ = 10–90°), in order of rising 2θ:
12.01°, I = 91
31.33°, I = 11
33.19°, I = 17
34.89°, I = 100
37.01°, I = 19
37.52°, I = 15
37.96°, I = 10
40.99°, I = 23
41.85°, I = 13
44.14°, I = 17
46.45°, I = 24
52.96°, I = 17

Lattice parameters (Å, degrees): 14.738 3.458 9.034 90.00 90.00 90.00
Fractional positions:
Nb (0.026, 0.250, 0.199)
Nb (0.077, 0.750, 0.456)
Nb (0.423, 0.250, 0.956)
Nb (0.474, 0.750, 0.699)
Nb (0.526, 0.250, 0.301)
Nb (0.577, 0.750, 0.044)
Nb (0.923, 0.250, 0.544)
Nb (0.974, 0.750, 0.801)
Se (0.092, 0.250, 0.687)
Se (0.102, 0.750, 0.019)
Se (0.184, 0.250, 0.334)
Se (0.316, 0.750, 0.834)
Se (0.398, 0.250, 0.519)
Se (0.408, 0.750, 0.187)
Se (0.592, 0.250, 0.813)
Se (0.602, 0.750, 0.481)
Se (0.684, 0.250, 0.166)
Se (0.816, 0.750, 0.666)
Se (0.898, 0.250, 0.981)
Se (0.908, 0.750, 0.313)

***

Record 2
This entry pairs a crystal structure of Nb2Se9 with its computed XRD peak list. Radiation: a wavelength of 1.5418 Å. Structure: the PBE geometry in OQMD.
Neutral-atom scattering factors, no anomalous dispersion.

The 12 most intense peaks (2θ = 10–90°), in order of rising 2θ:
10.50°, I = 22
13.59°, I = 100
14.23°, I = 58
14.51°, I = 51
25.17°, I = 26
31.25°, I = 25
31.78°, I = 41
34.53°, I = 40
35.00°, I = 21
35.17°, I = 27
35.37°, I = 23
39.08°, I = 22

Lattice parameters (Å, degrees): 8.336 8.526 8.606 99.09 94.94 92.97
Fractional positions:
Nb (0.085, 0.138, 0.102)
Nb (0.411, 0.402, 0.362)
Nb (0.589, 0.598, 0.638)
Nb (0.915, 0.862, 0.898)
Se (0.048, 0.597, 0.786)
Se (0.072, 0.844, 0.175)
Se (0.109, 0.289, 0.411)
Se (0.167, 0.023, 0.814)
Se (0.234, 0.424, 0.088)
Se (0.315, 0.679, 0.503)
Se (0.400, 0.098, 0.194)
Se (0.461, 0.308, 0.644)
Se (0.473, 0.687, 0.913)
Se (0.527, 0.313, 0.087)
Se (0.539, 0.692, 0.356)
Se (0.600, 0.902, 0.806)
Se (0.685, 0.321, 0.497)
Se (0.766, 0.576, 0.912)
Se (0.833, 0.977, 0.186)
Se (0.891, 0.711, 0.589)
Se (0.928, 0.156, 0.825)
Se (0.952, 0.403, 0.214)

***

Record 3
This entry pairs a crystal structure of Nb5SnSe8 with its computed XRD peak list. Radiation: a wavelength of 1.5418 Å. Structure: the PBE geometry in OQMD.
Neutral-atom scattering factors, no anomalous dispersion.

The 12 most intense peaks (2θ = 10–90°), in order of rising 2θ:
31.50°, I = 40
32.54°, I = 100
33.28°, I = 19
33.90°, I = 31
37.77°, I = 29
38.86°, I = 28
39.32°, I = 39
39.75°, I = 90
40.12°, I = 26
43.00°, I = 22
51.49°, I = 43
53.23°, I = 33

Lattice parameters (Å, degrees): 9.479 9.479 9.394 103.06 103.06 20.92
Fractional positions:
Nb (0.000, 0.000, 0.000)
Nb (0.288, 0.288, 0.631)
Nb (0.360, 0.360, 0.000)
Nb (0.640, 0.640, 0.000)
Nb (0.712, 0.712, 0.369)
Sn (0.500, 0.500, 0.500)
Se (0.084, 0.084, 0.806)
Se (0.150, 0.150, 0.510)
Se (0.242, 0.242, 0.159)
Se (0.431, 0.431, 0.799)
Se (0.569, 0.569, 0.201)
Se (0.758, 0.758, 0.841)
Se (0.850, 0.850, 0.490)
Se (0.916, 0.916, 0.194)

***

Record 4
This entry pairs a crystal structure of NbTeSe4 with its computed XRD peak list. Radiation: a wavelength of 1.5418 Å. Structure: the PBE geometry in OQMD.
Neutral-atom scattering factors, no anomalous dispersion.

The 12 most intense peaks (2θ = 10–90°), in order of rising 2θ:
13.85°, I = 100
26.10°, I = 12
27.33°, I = 18
27.63°, I = 23
31.88°, I = 64
32.53°, I = 63
33.43°, I = 58
45.90°, I = 23
46.12°, I = 43
46.28°, I = 22
47.58°, I = 21
48.74°, I = 20

Lattice parameters (Å, degrees): 6.825 7.478 7.884 118.23 90.54 107.68
Fractional positions:
Nb (0.000, 0.250, 0.000)
Nb (0.000, 0.750, 0.000)
Te (0.000, 0.250, 0.500)
Te (0.000, 0.750, 0.500)
Se (0.237, 0.006, 0.880)
Se (0.237, 0.506, 0.880)
Se (0.244, 0.491, 0.346)
Se (0.244, 0.991, 0.346)
Se (0.756, 0.009, 0.654)
Se (0.756, 0.509, 0.654)
Se (0.763, 0.494, 0.120)
Se (0.763, 0.994, 0.120)

***

Record 5
This entry pairs a crystal structure of Nb2Te3Se with its computed XRD peak list. Radiation: a wavelength of 1.5418 Å. Structure: the PBE geometry in OQMD.
Neutral-atom scattering factors, no anomalous dispersion.

The 12 most intense peaks (2θ = 10–90°), in order of rising 2θ:
22.56°, I = 20
28.27°, I = 30
28.58°, I = 91
30.54°, I = 20
32.14°, I = 26
34.19°, I = 100
36.46°, I = 60
39.09°, I = 99
44.92°, I = 20
50.22°, I = 69
63.58°, I = 29
67.32°, I = 23

Lattice parameters (Å, degrees): 6.314 3.636 12.233 90.00 104.82 90.00
Fractional positions:
Nb (0.000, 0.000, 0.000)
Nb (0.473, 0.500, 0.999)
Te (0.236, 0.500, 0.165)
Te (0.578, 0.000, 0.845)
Te (0.731, 0.000, 0.155)
Se (0.083, 0.500, 0.864)

***

Record 6
This entry pairs a crystal structure of ThNbSe with its computed XRD peak list. Radiation: a wavelength of 1.5418 Å. Structure: the PBE geometry in OQMD.
Neutral-atom scattering factors, no anomalous dispersion.

The 12 most intense peaks (2θ = 10–90°), in order of rising 2θ:
24.65°, I = 16
27.30°, I = 100
28.78°, I = 59
34.52°, I = 91
36.32°, I = 21
43.06°, I = 77
46.98°, I = 38
51.73°, I = 18
56.32°, I = 23
57.56°, I = 33
69.51°, I = 15
73.42°, I = 21

Lattice parameters (Å, degrees): 10.188 10.188 10.188 23.80 23.80 23.80
Fractional positions:
Th (0.118, 0.118, 0.118)
Th (0.882, 0.882, 0.882)
Nb (0.365, 0.365, 0.365)
Nb (0.635, 0.635, 0.635)
Se (0.275, 0.275, 0.275)
Se (0.725, 0.725, 0.725)

***

Record 7
This entry pairs a crystal structure of NbWSe4 with its computed XRD peak list. Radiation: a wavelength of 1.5418 Å. Structure: the PBE geometry in OQMD.
Neutral-atom scattering factors, no anomalous dispersion.

The 12 most intense peaks (2θ = 10–90°), in order of rising 2θ:
15.26°, I = 45
30.59°, I = 69
32.51°, I = 45
34.13°, I = 33
36.10°, I = 93
38.40°, I = 56
40.96°, I = 100
43.78°, I = 37
46.79°, I = 42
54.06°, I = 52
55.33°, I = 32
68.10°, I = 30

Lattice parameters (Å, degrees): 3.402 23.232 5.891 90.00 90.00 90.00
Fractional positions:
Nb (0.000, 0.000, 0.000)
Nb (0.000, 0.500, 0.500)
W (0.500, 0.000, 0.519)
W (0.500, 0.500, 0.019)
Se (0.000, 0.070, 0.347)
Se (0.000, 0.430, 0.847)
Se (0.000, 0.570, 0.847)
Se (0.000, 0.930, 0.347)
Se (0.500, 0.074, 0.839)
Se (0.500, 0.426, 0.339)
Se (0.500, 0.574, 0.339)
Se (0.500, 0.926, 0.839)

***

Record 8
This entry pairs a crystal structure of NbWSe4 with its computed XRD peak list. Radiation: a wavelength of 1.5418 Å. Structure: the PBE geometry in OQMD.
Neutral-atom scattering factors, no anomalous dispersion.

The 12 most intense peaks (2θ = 10–90°), in order of rising 2θ:
15.18°, I = 46
30.59°, I = 69
32.51°, I = 47
34.10°, I = 32
36.06°, I = 92
38.33°, I = 55
40.88°, I = 100
43.67°, I = 38
46.67°, I = 58
54.07°, I = 52
68.09°, I = 36
71.80°, I = 25

Lattice parameters (Å, degrees): 3.401 23.341 5.890 90.00 90.00 90.00
Fractional positions:
Nb (0.000, 0.000, 0.000)
Nb (0.500, 0.500, 0.000)
W (0.000, 0.500, 0.519)
W (0.500, 0.000, 0.519)
Se (0.000, 0.070, 0.348)
Se (0.000, 0.427, 0.839)
Se (0.000, 0.573, 0.839)
Se (0.000, 0.930, 0.348)
Se (0.500, 0.073, 0.839)
Se (0.500, 0.430, 0.348)
Se (0.500, 0.570, 0.348)
Se (0.500, 0.927, 0.839)